Diffraction record for Mn3O2F4. The X-ray diffraction stick pattern is computed, not measured: it uses DFT lattice parameters and positions (GGA+U) and Cu Kα, 1.54184 Å.

Atomic structure:
```
Mn3O2F4
1.0
4.8373 0.0000 0.0000
0.4731 5.7663 0.0000
0.4791 0.5647 7.9098
Mn O F
6 4 8
Direct
0.0000 0.0000 0.0000
0.0152 0.6534 0.3327
0.4813 0.1780 0.3415
0.5000 0.5000 0.0000
0.5187 0.8220 0.6585
0.9848 0.3466 0.6673
0.1874 0.3704 0.4424
0.1986 0.7000 0.1029
0.8014 0.3000 0.8971
0.8126 0.6296 0.5576
0.2032 0.0378 0.7579
0.3046 0.2003 0.1012
0.3048 0.8754 0.4342
0.3130 0.5397 0.7726
0.6870 0.4603 0.2274
0.6952 0.1246 0.5658
0.6954 0.7997 0.8988
0.7968 0.9622 0.2421
```

Most intense lines, 10 to 90 degrees two-theta, low angle first:
Position (°2θ), Rel. int., index
24.83, 100.0, 1 1 1
27.45, 82.0, -1 1 1
33.98, 67.8, 1 1 -2
49.89, 50.8, 1 1 4
52.76, 23.5, 2 -2 1
52.88, 23.2, 2 0 -3